Starting from a crystal structure in Alexandria, relaxed with PBE+U, the XRD peak list of Sr4CeMn4CoO15 was simulated for a wavelength of 1.5418 Å.

Principal peaks in the range 2θ from 10° to 90°, sorted by position:
Position (°2θ)	I/Imax
32.53	50
32.69	51
32.80	100
32.94	98
40.50	33
46.79	74
47.55	35
58.40	38
58.93	28
68.76	20

Structure:
a b c (Å): 16.2277 5.4788 6.7210
angles (deg): 90.00 105.18 90.00
Space group Cm (No. 8)
Unique sites:
1 Sr 0.0000 0.0000 0.0000 x2
2 Sr 0.0973 0.5000 0.3912 x2
3 Sr 0.3028 0.5000 0.1971 x2
4 Sr 0.4008 0.0000 0.5965 x2
5 Ce 0.2049 0.0000 0.8073 x2
6 Mn 0.0010 0.0000 0.4924 x2
7 Mn 0.0996 0.5000 0.8930 x2
8 Mn 0.2003 0.0000 0.2956 x2
9 Mn 0.3011 0.5000 0.6992 x2
10 Co 0.3997 0.0000 0.0975 x2
11 O 0.0619 0.2365 0.6902 x4
12 O 0.1004 0.0000 0.3905 x2
13 O 0.1512 0.2476 0.0784 x4
14 O 0.2017 0.5000 0.7980 x2
15 O 0.2516 0.2486 0.5166 x4
16 O 0.2949 0.0000 0.1806 x2
17 O 0.3395 0.2388 0.8998 x4
18 O 0.4067 0.5000 0.6216 x2
19 O 0.4501 0.2496 0.3027 x4
20 O 0.4970 0.0000 0.9778 x2